1.
Calculated PXRD pattern
Compound: MnMo7
Radiation: Cu Kα (weighted mean of Kα1 and Kα2)
Structure: a cell relaxed with PBE

Most intense lines, 10 to 90 degrees two-theta, most intense first:
- 2θ = 40.7°, d 2.219, I = 100.0, hkl 2 2 0
- 2θ = 74.0°, d 1.281, I = 24.4, hkl 6 0 0
- 2θ = 58.8°, d 1.569, I = 16.1, hkl 4 0 4
- 2θ = 73.8°, d 1.284, I = 8.2, hkl 2 0 8
- 2θ = 87.9°, d 1.111, I = 5.4, hkl 0 4 8
- 2θ = 88.1°, d 1.108, I = 5.4, hkl 4 4 0
- 2θ = 20.0°, d 4.434, I = 1.0, hkl 1 1 0
- 2θ = 14.1°, d 6.277, I = 0.9, hkl 1 0 1
- 2θ = 31.9°, d 2.807, I = 0.8, hkl 2 1 1

```
data_MnMo7
_space_group_name_H-M_alt 'R -3 m'
_space_group_IT_number 166
_space_group_name_Hall '-R 3 2"'
_cell_length_a 8.8676
_cell_length_b 8.8676
_cell_length_c 10.8976
_cell_angle_alpha 90.00
_cell_angle_beta 90.00
_cell_angle_gamma 120.00
loop_
_atom_site_label
_atom_site_type_symbol
_atom_site_fract_x
_atom_site_fract_y
_atom_site_fract_z
Mn1 Mn 0.0000 0.0000 0.1254
Mo1 Mo 0.0000 0.0000 0.3726
Mo2 Mo 0.9995 0.4998 0.1252
Mo3 Mo 0.0019 0.5009 0.6255
```

---

2.
Calculated PXRD pattern
Compound: Ac12TlCu5
Radiation: Cu Kα (weighted mean of Kα1 and Kα2)
Structure: a cell relaxed with PBE

Most intense lines, 10 to 90 degrees two-theta, most intense first:
- 2θ = 30.7°, d 2.916, I = 100.0, hkl 1 3 2
- 2θ = 28.8°, d 3.103, I = 73.2, hkl 2 2 2
- 2θ = 54.1°, d 1.694, I = 32.4, hkl 5 3 2
- 2θ = 27.5°, d 3.246, I = 31.2, hkl 3 1 0
- 2θ = 26.0°, d 3.432, I = 27.9, hkl 0 3 1
- 2θ = 31.4°, d 2.848, I = 23.2, hkl 2 3 1
- 2θ = 32.1°, d 2.790, I = 22.8, hkl 3 2 1
- 2θ = 74.6°, d 1.272, I = 16.8, hkl 2 8 2
- 2θ = 52.0°, d 1.760, I = 16.3, hkl 2 5 3
- 2θ = 47.4°, d 1.916, I = 16.2, hkl 0 3 5

```
data_Ac12TlCu5
_space_group_name_H-M_alt 'I m m m'
_space_group_IT_number 71
_space_group_name_Hall '-I 2 2'
_cell_length_a 10.2087
_cell_length_b 10.8039
_cell_length_c 11.3180
_cell_angle_alpha 90.00
_cell_angle_beta 90.00
_cell_angle_gamma 90.00
loop_
_atom_site_label
_atom_site_type_symbol
_atom_site_fract_x
_atom_site_fract_y
_atom_site_fract_z
Ac1 Ac 0.0000 0.1838 0.2263
Ac2 Ac 0.1881 0.5000 0.1743
Ac3 Ac 0.2145 0.3227 0.5000
Tl1 Tl 0.0000 0.0000 0.5000
Cu1 Cu 0.0000 0.0000 0.0000
Cu2 Cu 0.0000 0.3522 0.0000
Cu3 Cu 0.0000 0.5000 0.3859
```

---

3.
Calculated PXRD pattern
Compound: RbGe2Te4
Radiation: Cu Kα (weighted mean of Kα1 and Kα2)
Structure: a cell relaxed with PBE

Most intense lines, 10 to 90 degrees two-theta, most intense first:
- 2θ = 29.0°, d 3.080, I = 100.0, hkl 1 5 -1
- 2θ = 27.3°, d 3.264, I = 70.4, hkl 3 1 -1
- 2θ = 28.6°, d 3.124, I = 41.5, hkl 1 5 0
- 2θ = 12.3°, d 7.186, I = 40.3, hkl 1 1 0
- 2θ = 24.5°, d 3.638, I = 33.4, hkl 2 0 -2
- 2θ = 35.3°, d 2.539, I = 29.9, hkl 0 6 1
- 2θ = 32.4°, d 2.765, I = 25.0, hkl 2 4 -2
- 2θ = 33.2°, d 2.700, I = 24.8, hkl 0 2 2
- 2θ = 24.9°, d 3.579, I = 20.2, hkl 1 1 1
- 2θ = 49.8°, d 1.831, I = 19.3, hkl 1 9 -1

```
data_RbGe2Te4
_space_group_name_H-M_alt 'C 1 c 1'
_space_group_IT_number 9
_space_group_name_Hall 'C -2yc'
_cell_length_a 10.1981
_cell_length_b 17.0215
_cell_length_c 7.3246
_cell_angle_alpha 90.00
_cell_angle_beta 128.98
_cell_angle_gamma 90.00
loop_
_atom_site_label
_atom_site_type_symbol
_atom_site_fract_x
_atom_site_fract_y
_atom_site_fract_z
Rb1 Rb 0.0000 0.1279 0.0000
Ge1 Ge 0.0622 0.4973 0.3547
Ge2 Ge 0.1442 0.2853 0.5259
Te1 Te 0.0176 0.3662 0.0797
Te2 Te 0.3044 0.0493 0.8880
Te3 Te 0.3066 0.4109 0.8086
Te4 Te 0.3511 0.2109 0.9873
```

---

4.
Calculated PXRD pattern
Compound: KSrInI6
Radiation: Cu Kα (weighted mean of Kα1 and Kα2)
Structure: a cell relaxed with PBE

Most intense lines, 10 to 90 degrees two-theta, most intense first:
- 2θ = 24.8°, d 3.590, I = 100.0, hkl 1 1 2
- 2θ = 32.3°, d 2.774, I = 48.2, hkl 1 1 4
- 2θ = 38.2°, d 2.354, I = 35.3, hkl 3 0 0
- 2θ = 42.1°, d 2.146, I = 25.8, hkl 2 -1 6
- 2θ = 11.7°, d 7.574, I = 15.5, hkl 0 0 2
- 2θ = 17.2°, d 5.165, I = 15.2, hkl 1 0 2
- 2θ = 12.5°, d 7.061, I = 13.1, hkl 1 0 0
- 2θ = 35.7°, d 2.517, I = 12.2, hkl 2 1 2
- 2θ = 48.0°, d 1.895, I = 12.0, hkl 0 0 8
- 2θ = 23.5°, d 3.787, I = 11.8, hkl 0 0 4

```
data_KSrInI6
_space_group_name_H-M_alt 'P -3 1 c'
_space_group_IT_number 163
_space_group_name_Hall '-P 3 2c'
_cell_length_a 8.1530
_cell_length_b 8.1530
_cell_length_c 15.1476
_cell_angle_alpha 90.00
_cell_angle_beta 90.00
_cell_angle_gamma 120.00
loop_
_atom_site_label
_atom_site_type_symbol
_atom_site_fract_x
_atom_site_fract_y
_atom_site_fract_z
K1 K 0.0000 0.0000 0.0000
Sr1 Sr 0.3333 0.6667 0.2500
In1 In 0.3333 0.6667 0.7500
I1 I 0.0308 0.3804 0.6343
```

---

5.
Calculated PXRD pattern
Compound: TmHf2Zr4
Radiation: Cu Kα (weighted mean of Kα1 and Kα2)
Structure: a cell relaxed with PBE

Most intense lines, 10 to 90 degrees two-theta, most intense first:
- 2θ = 37.2°, d 2.415, I = 100.0, hkl 1 1 2
- 2θ = 34.4°, d 2.609, I = 32.1, hkl 2 0 0
- 2θ = 33.8°, d 2.648, I = 29.6, hkl 0 0 4
- 2θ = 63.5°, d 1.466, I = 20.8, hkl 3 1 2
- 2θ = 49.0°, d 1.859, I = 20.8, hkl 2 0 4
- 2θ = 62.8°, d 1.480, I = 16.9, hkl 1 1 6
- 2θ = 30.6°, d 2.924, I = 10.4, hkl 1 0 3
- 2θ = 79.4°, d 1.207, I = 10.2, hkl 2 2 4
- 2θ = 69.3°, d 1.357, I = 8.2, hkl 2 2 0
- 2θ = 68.9°, d 1.362, I = 7.4, hkl 0 2 4

```
data_TmHf2Zr4
_space_group_name_H-M_alt 'P 1 2/m 1'
_space_group_IT_number 10
_space_group_name_Hall '-P 2y'
_cell_length_a 5.2176
_cell_length_b 3.1766
_cell_length_c 10.5935
_cell_angle_alpha 90.00
_cell_angle_beta 90.07
_cell_angle_gamma 90.00
loop_
_atom_site_label
_atom_site_type_symbol
_atom_site_fract_x
_atom_site_fract_y
_atom_site_fract_z
Tm1 Tm 0.0000 0.0000 0.0000
Hf1 Hf 0.0000 0.0000 0.5000
Hf2 Hf 0.5000 0.5000 0.5000
Zr1 Zr 0.0006 0.5000 0.2641
Zr2 Zr 0.5004 0.0000 0.2230
```

---

6.
Calculated PXRD pattern
Compound: Pr2Ti3O8
Radiation: Cu Kα (weighted mean of Kα1 and Kα2)
Structure: a cell relaxed with PBE

Most intense lines, 10 to 90 degrees two-theta, most intense first:
- 2θ = 33.5°, d 2.678, I = 100.0, hkl 1 0 3
- 2θ = 28.0°, d 3.189, I = 72.4, hkl 1 0 2
- 2θ = 32.4°, d 2.763, I = 57.6, hkl 1 1 0
- 2θ = 16.1°, d 5.517, I = 49.7, hkl 0 0 2
- 2θ = 46.5°, d 1.954, I = 48.2, hkl 2 0 0
- 2θ = 40.9°, d 2.208, I = 47.0, hkl 0 0 5
- 2θ = 58.5°, d 1.578, I = 39.1, hkl 2 1 3
- 2θ = 53.1°, d 1.725, I = 34.6, hkl 1 1 5
- 2θ = 36.4°, d 2.471, I = 30.4, hkl 1 1 2
- 2θ = 63.6°, d 1.463, I = 23.2, hkl 2 0 5

```
data_Pr2Ti3O8
_space_group_name_H-M_alt 'P 4/m m m'
_space_group_IT_number 123
_space_group_name_Hall '-P 4 2'
_cell_length_a 3.9077
_cell_length_b 3.9077
_cell_length_c 11.0338
_cell_angle_alpha 90.00
_cell_angle_beta 90.00
_cell_angle_gamma 90.00
loop_
_atom_site_label
_atom_site_type_symbol
_atom_site_fract_x
_atom_site_fract_y
_atom_site_fract_z
Pr1 Pr 0.0000 0.0000 0.1965
Ti1 Ti 0.5000 0.5000 0.0000
Ti2 Ti 0.5000 0.5000 0.3633
O1 O 0.0000 0.5000 0.0000
O2 O 0.0000 0.5000 0.3431
O3 O 0.5000 0.5000 0.1757
```